Sm3Ga4: theoretical powder X-ray diffraction pattern (Cu Kα), based on a structure optimized by DFT (PBE).

Peak list (10 most intense, 10° ≤ 2θ ≤ 90°, low angle first)
2θ = 25.69°, I 22, hkl 1 0 3
2θ = 31.21°, I 100, hkl 1 1 2
2θ = 31.69°, I 53, hkl 0 1 5
2θ = 35.51°, I 26, hkl 1 1 4
2θ = 40.22°, I 28, hkl 1 0 7
2θ = 41.61°, I 27, hkl 0 2 0
2θ = 43.25°, I 24, hkl 2 0 0
2θ = 54.60°, I 23, hkl 2 1 5
2θ = 59.25°, I 18, hkl 1 2 7
2θ = 69.44°, I 19, hkl 1 3 2

Structural model:
```
data_Sm3Ga4
_chemical_formula_sum 'Sm6 Ga8'
_space_group_name_H-M_alt 'I m m m'
_space_group_IT_number 71
_space_group_name_Hall '-I 2 2'
_cell_length_a 4.184
_cell_length_b 4.341
_cell_length_c 18.590
_cell_angle_alpha 90.00
_cell_angle_beta 90.00
_cell_angle_gamma 90.00
loop_
_atom_site_label
_atom_site_type_symbol
_atom_site_fract_x
_atom_site_fract_y
_atom_site_fract_z
_atom_site_occupancy
Sm1 Sm 0.000 0.000 0.000 1
Sm2 Sm 0.000 0.500 0.316 1
Ga1 Ga 0.000 0.000 0.434 1
Ga2 Ga 0.000 0.500 0.144 1
```